1.
Starting from the PBE geometry in Alexandria, the powder diffraction line list of Sm5Sc2 was simulated for λ = 1.5418 Å (Cu Kα).

Crystal structure
a = 15.560 Å, b = 6.210 Å, c = 9.105 Å
α = 90.00°, β = 95.60°, γ = 90.00°
Space group C2/c (No. 15)
One atom of each set of equivalent atoms:
Sm: 0.000 0.175 0.250 (multiplicity 4)
Sm: 0.136 0.175 0.962 (multiplicity 8)
Sm: 0.218 0.340 0.323 (multiplicity 8)
Sc: 0.069 0.340 0.607 (multiplicity 8)

The 10 most intense peaks (10° ≤ 2θ ≤ 90°), in order of rising 2θ:
2θ/deg  Rel. int.  hkl
28.8  26  0 2 0
31.8  24  4 0 2
33.0  100  1 1 -3
43.4  15  4 2 2
51.0  19  6 0 -4
57.4  19  3 1 5
61.4  22  2 0 -6
62.0  16  2 4 1
84.3  13  4 4 -5
88.4  8  2 0 8


2.
Starting from the PBE geometry in Alexandria, the powder diffraction line list of Sm6Sc was simulated for λ = 1.5418 Å (Cu Kα).

Crystal structure
a = 6.454 Å, b = 6.454 Å, c = 11.291 Å
α = 90.00°, β = 90.00°, γ = 90.00°
Space group P4/nbm (No. 125, origin choice 2)
One atom of each set of equivalent atoms:
Sm: 0.081 0.581 0.139 (multiplicity 8)
Sm: 0.250 0.250 0.365 (multiplicity 4)
Sc: 0.250 0.750 0.500 (multiplicity 2)

The 10 most intense peaks (10° ≤ 2θ ≤ 90°), in order of rising 2θ:
2θ/deg  Rel. int.  hkl
21.0  56  1 1 1
28.8  86  2 0 1
30.8  63  1 1 3
31.7  55  0 0 4
32.0  78  2 1 1
34.9  100  2 1 2
36.7  51  2 0 3
44.4  40  3 1 0
55.6  51  3 1 4
61.5  36  3 3 1